Simulated powder diffraction line list of Fe3Ni20B6 for Cu Kα (weighted mean of Kα1 and Kα2), from a DFT-relaxed cell (GGA-PBE, the Materials Project).
Peak positions follow from Bragg's law for the DFT cell and can differ from measured ones.

Peak list (8 most intense, 10° ≤ 2θ ≤ 80°, low angle first)
2θ/deg	I (rel.)
38.46	24
42.30	27
45.01	100
49.25	19
51.67	28
52.46	13
77.36	21
79.27	12

Crystal structure
```
data_Fe3Ni20B6
_cell_length_a 10.466
_cell_length_b 10.466
_cell_length_c 10.466
_cell_angle_alpha 90.00
_cell_angle_beta 90.00
_cell_angle_gamma 90.00
_symmetry_space_group_name_H-M 'F m -3 m'
_symmetry_Int_Tables_number 225
_symmetry_space_group_name_Hall '-F 4 2 3'
loop_
_atom_site_label
_atom_site_type_symbol
_atom_site_fract_x
_atom_site_fract_y
_atom_site_fract_z
Fe1 Fe 0.000 0.000 0.000
Fe2 Fe 0.250 0.250 0.250
Ni1 Ni 0.000 0.169 0.169
Ni2 Ni 0.117 0.117 0.383
B1 B 0.000 0.000 0.272
```

Simulated powder diffraction line list of Fe3Ni3B2 for Cu Kα (weighted mean of Kα1 and Kα2), from a DFT-relaxed cell (GGA-PBE, the Materials Project).
Peak positions follow from Bragg's law for the DFT cell and can differ from measured ones.

Peak list (8 most intense, 10° ≤ 2θ ≤ 80°, low angle first)
2θ/deg	I (rel.)
38.00	73
42.10	68
43.80	89
44.52	78
45.99	100
46.69	79
48.65	49
49.28	46

Crystal structure
```
data_Fe3Ni3B2
_cell_length_a 4.409
_cell_length_b 5.293
_cell_length_c 6.621
_cell_angle_alpha 90.00
_cell_angle_beta 90.02
_cell_angle_gamma 90.00
_symmetry_space_group_name_H-M 'P 1 21 1'
_symmetry_Int_Tables_number 4
loop_
_symmetry_equiv_pos_as_xyz
'x,y,z'
'-x,y+1/2,-z'
loop_
_atom_site_label
_atom_site_type_symbol
_atom_site_fract_x
_atom_site_fract_y
_atom_site_fract_z
Fe1 Fe 0.100 0.000 0.190
Fe2 Fe 0.103 0.002 0.811
Fe3 Fe 0.397 0.358 0.306
Ni1 Ni 0.120 0.708 0.498
Ni2 Ni 0.381 0.652 0.001
Ni3 Ni 0.402 0.364 0.684
B1 B 0.195 0.303 0.999
B2 B 0.306 0.060 0.504
```

Simulated powder diffraction line list of FeNiB for Cu Kα (weighted mean of Kα1 and Kα2), from a DFT-relaxed cell (GGA-PBE, the Materials Project).
Peak positions follow from Bragg's law for the DFT cell and can differ from measured ones.

Peak list (8 most intense, 10° ≤ 2θ ≤ 80°, low angle first)
2θ/deg	I (rel.)
35.68	37
43.19	45
45.40	100
46.11	88
50.71	10
57.22	27
57.49	12
58.39	12

Crystal structure
```
data_FeNiB
_cell_length_a 4.190
_cell_length_b 7.035
_cell_length_c 7.204
_cell_angle_alpha 90.00
_cell_angle_beta 90.00
_cell_angle_gamma 90.00
_symmetry_space_group_name_H-M 'F m m m'
_symmetry_Int_Tables_number 69
_symmetry_space_group_name_Hall '-F 2 2'
loop_
_atom_site_label
_atom_site_type_symbol
_atom_site_fract_x
_atom_site_fract_y
_atom_site_fract_z
Fe1 Fe 0.000 0.168 0.000
Ni1 Ni 0.000 0.000 0.331
B1 B 0.250 0.250 0.250
```

Simulated powder diffraction line list of Ti2FeB6Os6Rh3 for Cu Kα (weighted mean of Kα1 and Kα2), from a DFT-relaxed cell (GGA-PBE, the Materials Project).
Peak positions follow from Bragg's law for the DFT cell and can differ from measured ones.

Peak list (8 most intense, 10° ≤ 2θ ≤ 80°, low angle first)
2θ/deg	I (rel.)
29.17	40
31.49	84
40.77	100
41.20	52
42.93	98
43.04	85
43.21	80
75.52	57

Crystal structure
```
data_Ti2FeB6Os6Rh3
_cell_length_a 3.061
_cell_length_b 15.387
_cell_length_c 8.764
_cell_angle_alpha 90.00
_cell_angle_beta 90.00
_cell_angle_gamma 90.00
_symmetry_space_group_name_H-M 'A m m 2'
_symmetry_Int_Tables_number 38
loop_
_symmetry_equiv_pos_as_xyz
'x,y,z'
'-x,-y,z'
'-x,y,z'
'x,-y,z'
'x,y+1/2,z+1/2'
'-x,-y+1/2,z+1/2'
'-x,y+1/2,z+1/2'
'x,-y+1/2,z+1/2'
loop_
_atom_site_label
_atom_site_type_symbol
_atom_site_fract_x
_atom_site_fract_y
_atom_site_fract_z
Ti1 Ti 0.000 0.207 0.000
Fe1 Fe 0.000 0.000 0.389
B1 B 0.000 0.167 0.291
B2 B 0.500 0.000 0.552
B3 B 0.500 0.000 0.788
B4 B 0.500 0.105 0.899
Os1 Os 0.500 0.089 0.171
Os2 Os 0.500 0.140 0.466
Os3 Os 0.500 0.233 0.740
Rh1 Rh 0.000 0.000 0.970
Rh2 Rh 0.000 0.087 0.707
```

Simulated powder diffraction line list of PrFe4B4 for Cu Kα (weighted mean of Kα1 and Kα2), from a DFT-relaxed cell (GGA-PBE, the Materials Project).
Peak positions follow from Bragg's law for the DFT cell and can differ from measured ones.

Peak list (8 most intense, 10° ≤ 2θ ≤ 80°, low angle first)
2θ/deg	I (rel.)
25.11	28
26.57	51
35.80	16
36.88	100
40.20	71
49.58	16
52.35	31
70.89	18

Crystal structure
```
data_PrFe4B4
_cell_length_a 7.094
_cell_length_b 7.094
_cell_length_c 3.807
_cell_angle_alpha 90.00
_cell_angle_beta 90.00
_cell_angle_gamma 90.00
_symmetry_space_group_name_H-M 'P 42/n'
_symmetry_Int_Tables_number 86
loop_
_symmetry_equiv_pos_as_xyz
'x,y,z'
'-x,-y,-z'
'-y,x+1/2,z+1/2'
'y,-x+1/2,-z+1/2'
'-x+1/2,-y+1/2,z'
'x+1/2,y+1/2,-z'
'y+1/2,-x,z+1/2'
'-y+1/2,x,-z+1/2'
loop_
_atom_site_label
_atom_site_type_symbol
_atom_site_fract_x
_atom_site_fract_y
_atom_site_fract_z
Pr1 Pr 0.250 0.250 0.250
Fe1 Fe 0.117 0.861 0.144
B1 B 0.047 0.585 0.145
```

Simulated powder diffraction line list of Pr4Fe3B6 for Cu Kα (weighted mean of Kα1 and Kα2), from a DFT-relaxed cell (GGA-PBE, the Materials Project).
Peak positions follow from Bragg's law for the DFT cell and can differ from measured ones.

Peak list (8 most intense, 10° ≤ 2θ ≤ 80°, low angle first)
2θ/deg	I (rel.)
23.31	34
33.04	100
33.38	29
36.77	20
40.82	65
47.67	16
59.01	22
59.22	25

Crystal structure
```
data_Pr4Fe3B6
_cell_length_a 5.4228
_cell_length_b 5.4228
_cell_length_c 22.8994
_cell_angle_alpha 90.00
_cell_angle_beta 90.00
_cell_angle_gamma 120.00
_symmetry_space_group_name_H-M 'R -3 m'
_symmetry_Int_Tables_number 166
_symmetry_space_group_name_Hall '-R 3 2"'
loop_
_atom_site_label
_atom_site_type_symbol
_atom_site_fract_x
_atom_site_fract_y
_atom_site_fract_z
Pr1 Pr 0.0000 0.0000 0.0893
Pr2 Pr 0.0000 0.0000 0.2429
Fe1 Fe 0.0000 0.0000 0.3828
Fe2 Fe 0.0000 0.0000 0.5000
B1 B 0.0000 0.3334 0.0000
```

Simulated powder diffraction line list of FeReB for Cu Kα (weighted mean of Kα1 and Kα2), from a DFT-relaxed cell (GGA-PBE, the Materials Project).
Peak positions follow from Bragg's law for the DFT cell and can differ from measured ones.

Peak list (8 most intense, 10° ≤ 2θ ≤ 80°, low angle first)
2θ/deg	I (rel.)
23.69	51
25.96	36
33.52	29
40.30	37
42.70	100
43.07	50
47.29	21
74.90	25

Crystal structure
```
data_FeReB
_cell_length_a 4.475
_cell_length_b 7.511
_cell_length_c 7.612
_cell_angle_alpha 90.00
_cell_angle_beta 90.00
_cell_angle_gamma 90.00
_symmetry_space_group_name_H-M 'F m m m'
_symmetry_Int_Tables_number 69
_symmetry_space_group_name_Hall '-F 2 2'
loop_
_atom_site_label
_atom_site_type_symbol
_atom_site_fract_x
_atom_site_fract_y
_atom_site_fract_z
Fe1 Fe 0.000 0.174 0.000
Re1 Re 0.000 0.000 0.335
B1 B 0.250 0.250 0.250
```